Simulated X-ray diffraction stick pattern of Th4Ge6Os7 for Cu Kα (weighted mean of Kα1 and Kα2), from a crystal structure in Alexandria, relaxed with GGA-PBE.
No peak broadening, texture or thermal motion is included.

Crystal structure
a = 8.5608 Å, b = 8.5608 Å, c = 8.5608 Å
α = 90.00°, β = 90.00°, γ = 90.00°
Space group Im-3m (No. 229)
One atom of each set of equivalent atoms:
1 Th 0.2500 0.2500 0.2500 (multiplicity 8)
2 Ge 0.0000 0.0000 0.3168 (multiplicity 12)
3 Os 0.0000 0.0000 0.0000 (multiplicity 2)
4 Os 0.0000 0.2500 0.5000 (multiplicity 12)

Peak list (6 most intense, 15° ≤ 2θ ≤ 90°, by angle)
hkl 2 2 0, 29.5°, I 24
hkl 2 2 2, 36.4°, I 100
hkl 3 2 1, 39.4°, I 31
hkl 4 0 0, 42.2°, I 68
hkl 4 4 0, 61.2°, I 40
hkl 6 2 2, 73.4°, I 32